Zn3P11: simulated powder diffraction line list (Cu Kα), based on a cell relaxed with GGA-PBE.

Most intense lines, 10 to 90 degrees two-theta, by angle:
2theta	I/Imax
15.1	14
23.7	27
29.6	100
30.5	45
31.8	57
37.1	24
38.0	16
49.0	28
50.2	15
50.8	29

Unit cell a=7.4641 b=7.4641 c=6.2547 alpha=112.43 beta=112.43 gamma=58.27
Positions (direct):
Zn 0.0000 0.0000 0.0000
Zn 0.3123 0.3123 0.5405
Zn 0.5908 0.5908 0.3490
P 0.0750 0.6241 0.3497
P 0.1127 0.1127 0.4370
P 0.2831 0.7982 0.5285
P 0.3502 0.8298 0.9122
P 0.4848 0.4848 0.9160
P 0.6241 0.0750 0.3497
P 0.6694 0.9717 0.9818
P 0.7961 0.7961 0.5114
P 0.7982 0.2831 0.5285
P 0.8298 0.3502 0.9122
P 0.9717 0.6694 0.9818